CsCa2Ta3O10: calculated X-ray diffraction stick pattern (λ = 1.5418 Å (Cu Kα)), based on a PBE-relaxed structure.
Peak positions follow from Bragg's law for the DFT cell and can differ from measured ones.

Crystal structure
```
CsCa2Ta3O10
1.0
3.950 0.000 0.000
0.000 3.950 0.000
0.000 0.000 15.521
Cs Ca Ta O
1 2 3 10
Direct
0.000 0.000 0.000
0.000 0.000 0.352
0.000 0.000 0.648
0.500 0.500 0.225
0.500 0.500 0.500
0.500 0.500 0.775
0.000 0.500 0.252
0.000 0.500 0.500
0.000 0.500 0.748
0.500 0.000 0.252
0.500 0.000 0.500
0.500 0.000 0.748
0.500 0.500 0.109
0.500 0.500 0.373
0.500 0.500 0.627
0.500 0.500 0.891
```

Top 10 peaks for 2θ = 15–90°, low angle first:
22.51 deg, I = 45; 22.92 deg, I = 46; 23.24 deg, I = 22; 25.30 deg, I = 31; 28.43 deg, I = 100; 32.05 deg, I = 64; 32.34 deg, I = 28; 45.95 deg, I = 37; 47.00 deg, I = 28; 54.92 deg, I = 31